Entry 1:
Fe7P4O20: theoretical X-ray diffraction stick pattern (a wavelength of 1.5418 Å), based on a cell relaxed with GGA+U.
Intensities are scaled so that the largest is 100.

Largest 6 diffraction maxima, in order of falling intensity, 15 to 90 degrees two-theta:
Position (°2θ), I/Imax, h k l
27.2, 100, 2 -1 1
26.9, 47, -1 2 1
18.1, 43, 0 1 1
26.8, 39, -2 1 1
26.7, 38, 1 -2 1
56.7, 34, 2 -2 4

Structural model:
Lattice parameters (Å, degrees): 7.3500 7.4179 7.5989 90.60 91.10 117.94
Space group P-1 (No. 2)
One atom of each set of equivalent atoms:
1 Fe 0.0000 0.0000 0.0000
2 Fe 0.0000 0.5000 0.0000
3 Fe 0.2448 0.2524 0.7562
4 Fe 0.2775 0.7691 0.2762
5 Fe 0.5000 0.5000 0.5000
6 P 0.9996 0.2563 0.3730
7 P 0.4903 0.7574 0.8789
8 O 0.0005 0.2594 0.8649
9 O 0.0567 0.9405 0.7396
10 O 0.0648 0.4381 0.2459
11 O 0.1800 0.7771 0.5105
12 O 0.1918 0.3039 0.4939
13 O 0.3064 0.6993 0.0005
14 O 0.3193 0.2054 0.0021
15 O 0.4318 0.5722 0.7498
16 O 0.4574 0.0536 0.2276
17 O 0.5003 0.2837 0.6465

---

Entry 2:
Fe3P2O9: theoretical X-ray diffraction stick pattern (a wavelength of 1.5418 Å), based on a cell relaxed with GGA+U.
Intensities are scaled so that the largest is 100.

Largest 6 diffraction maxima, in order of falling intensity, 15 to 90 degrees two-theta:
Position (°2θ), I/Imax, h k l
15.1, 100, 1 1 0
21.7, 88, 1 1 1
33.4, 86, 1 2 -3
29.5, 80, 1 1 -3
26.2, 70, 2 1 0
28.0, 60, 2 2 -1

Structural model:
Lattice parameters (Å, degrees): 8.3064 9.9887 9.6053 90.00 119.48 90.00
Space group P2_1/c (No. 14)
One atom of each set of equivalent atoms:
1 Fe 0.0570 0.1184 0.4340
2 Fe 0.2660 0.6234 0.7808
3 Fe 0.4162 0.6146 0.5229
4 P 0.0176 0.1716 0.1409
5 P 0.3844 0.5940 0.1698
6 O 0.0402 0.7418 0.7543
7 O 0.1182 0.0539 0.2612
8 O 0.1492 0.2443 0.0978
9 O 0.1595 0.6275 0.5139
10 O 0.1765 0.5425 0.0737
11 O 0.3477 0.0550 0.9233
12 O 0.3941 0.6863 0.3025
13 O 0.4199 0.6751 0.0493
14 O 0.4850 0.5285 0.7661

---

Entry 3:
FePO4: theoretical X-ray diffraction stick pattern (a wavelength of 1.5418 Å), based on a cell relaxed with GGA+U.
Intensities are scaled so that the largest is 100.

Largest 6 diffraction maxima, in order of falling intensity, 15 to 90 degrees two-theta:
Position (°2θ), I/Imax, h k l
21.4, 100, 2 1 1
25.2, 54, 2 2 0
31.5, 52, 1 1 3
33.5, 46, 1 4 0
20.5, 35, 0 1 2
64.9, 24, 7 1 3

Structural model:
Lattice parameters (Å, degrees): 14.1411 14.1411 9.2880 90.00 90.00 120.00
Space group R3 (No. 146, hexagonal axes)
One atom of each set of equivalent atoms:
1 Fe 0.0083 0.2069 0.0000
2 Fe 0.1347 0.6835 0.1678
3 P 0.0156 0.2120 0.6617
4 P 0.1323 0.6740 0.8288
5 O 0.0013 0.6864 0.1566
6 O 0.0131 0.3206 0.6555
7 O 0.0562 0.1989 0.8122
8 O 0.0922 0.2114 0.5434
9 O 0.1082 0.2173 0.1422
10 O 0.1875 0.7222 0.9757
11 O 0.2058 0.7486 0.7064
12 O 0.2169 0.4486 0.3043

---

Entry 4:
FeP3O9: theoretical X-ray diffraction stick pattern (a wavelength of 1.5418 Å), based on a cell relaxed with GGA+U.
Intensities are scaled so that the largest is 100.

Largest 6 diffraction maxima, in order of falling intensity, 15 to 90 degrees two-theta:
Position (°2θ), I/Imax, h k l
23.0, 100, 1 0 2
23.2, 75, 1 2 0
25.4, 48, 2 1 1
33.0, 39, 1 3 0
23.3, 29, 2 1 0
33.1, 28, 3 0 1

Structural model:
Lattice parameters (Å, degrees): 8.5349 8.5974 8.6890 90.00 90.00 90.00
Space group P2_12_12_1 (No. 19)
One atom of each set of equivalent atoms:
1 Fe 0.1319 0.1425 0.1477
2 P 0.0351 0.6773 0.6908
3 P 0.1822 0.5145 0.1871
4 P 0.2006 0.1918 0.5500
5 O 0.0422 0.2194 0.6471
6 O 0.0893 0.1240 0.9193
7 O 0.0996 0.5963 0.3173
8 O 0.1028 0.3751 0.1176
9 O 0.1369 0.8117 0.6423
10 O 0.1442 0.5327 0.7436
11 O 0.1531 0.1608 0.3873
12 O 0.1921 0.9178 0.1344
13 O 0.2221 0.6367 0.0527

---

Entry 5:
FeP2O7: theoretical X-ray diffraction stick pattern (a wavelength of 1.5418 Å), based on a cell relaxed with GGA+U.
Intensities are scaled so that the largest is 100.

Largest 6 diffraction maxima, in order of falling intensity, 15 to 90 degrees two-theta:
Position (°2θ), I/Imax, h k l
22.8, 100, 1 2 2
17.6, 74, 1 0 1
18.5, 67, 0 0 2
21.4, 52, 0 2 2
16.6, 46, 1 0 -1
20.3, 42, 1 -1 0

Structural model:
Lattice parameters (Å, degrees): 6.4510 9.6746 10.6471 64.69 85.82 72.88
Space group P1 (No. 1)
One atom of each set of equivalent atoms:
1 Fe 0.0000 0.0000 0.0000
2 Fe 0.1019 0.4105 0.9688
3 Fe 0.3527 0.4046 0.4729
4 Fe 0.4546 0.8151 0.4417
5 P 0.0386 0.1067 0.2559
6 P 0.1427 0.2256 0.7580
7 P 0.3118 0.5895 0.6837
8 P 0.4159 0.7083 0.1858
9 P 0.6172 0.3584 0.9190
10 P 0.6543 0.0912 0.4268
11 P 0.8003 0.7239 0.0149
12 P 0.8373 0.4567 0.5227
13 O 0.0051 0.5813 0.0319
14 O 0.0320 0.4509 0.4307
15 O 0.0887 0.0673 0.8014
16 O 0.1180 0.2495 0.1646
17 O 0.1253 0.5647 0.7783
18 O 0.1663 0.2344 0.8984
19 O 0.1766 0.9794 0.3932
20 O 0.2734 0.8235 0.0531
21 O 0.2883 0.5807 0.5434
22 O 0.3293 0.2504 0.6635
23 O 0.3365 0.5656 0.2771
24 O 0.3659 0.7478 0.6403
25 O 0.4226 0.3642 0.0111
26 O 0.4494 0.2337 0.4099
27 O 0.4563 0.7988 0.2650
28 O 0.5249 0.4543 0.7585
29 O 0.6197 0.9587 0.3967
30 O 0.6486 0.6414 0.1322
31 O 0.6719 0.3917 0.4929
32 O 0.6849 0.7915 0.8724
33 O 0.7249 0.1791 0.9393
34 O 0.7297 0.6360 0.5024
35 O 0.7708 0.0116 0.5724
36 O 0.7827 0.4234 0.9488
37 O 0.8060 0.1737 0.3095
38 O 0.8349 0.8564 0.0450
39 O 0.9297 0.3608 0.6833
40 O 0.9983 0.0163 0.1767